Ta5Ga3: calculated powder X-ray diffraction pattern (Cu Kα, 1.54184 Å), based on the GGA-PBE geometry in OQMD.
Intensities are scaled so that the largest is 1000.

Main lines, in order of rising 2θ (2θ from 10° to 90°):
- d 2.925, 30.56 deg, intensity 245
- d 2.520, 35.62 deg, intensity 151
- d 2.398, 37.50 deg, intensity 1000
- d 2.228, 40.49 deg, intensity 208
- d 2.132, 42.40 deg, intensity 431
- d 1.980, 45.84 deg, intensity 143
- d 1.511, 61.35 deg, intensity 145
- d 1.451, 64.21 deg, intensity 144
- d 1.401, 66.78 deg, intensity 99
- d 1.193, 80.47 deg, intensity 137

Cell and atoms:
Cell: 7.615 7.615 7.615 Å, 127.46 127.46 77.50°
Fractional positions:
Ta  0.000  0.000  0.000
Ta  0.006  0.506  0.823
Ta  0.182  0.006  0.500
Ta  0.318  0.818  0.823
Ta  0.494  0.318  0.500
Ta  0.500  0.500  0.000
Ta  0.506  0.682  0.500
Ta  0.682  0.182  0.177
Ta  0.818  0.994  0.500
Ta  0.994  0.494  0.177
Ga  0.134  0.366  0.500
Ga  0.250  0.250  0.000
Ga  0.366  0.866  0.231
Ga  0.634  0.134  0.769
Ga  0.750  0.750  0.000
Ga  0.866  0.634  0.500



TaGa2: calculated powder X-ray diffraction pattern (Cu Kα, 1.54184 Å), based on the GGA-PBE geometry in OQMD.
Intensities are scaled so that the largest is 1000.

Main lines, in order of rising 2θ (2θ from 10° to 90°):
- d 4.182, 21.25 deg, intensity 124
- d 2.561, 35.04 deg, intensity 629
- d 2.184, 41.34 deg, intensity 1000
- d 2.091, 43.27 deg, intensity 157
- d 1.479, 62.85 deg, intensity 235
- d 1.394, 67.15 deg, intensity 314
- d 1.280, 74.04 deg, intensity 234
- d 1.145, 84.62 deg, intensity 105
- d 1.105, 88.52 deg, intensity 115
- d 1.092, 89.82 deg, intensity 55

Cell and atoms:
Cell: 5.122 5.122 5.122 Å, 60.00 60.00 60.00°
Fractional positions:
Ta  0.125  0.125  0.125
Ta  0.875  0.875  0.875
Ga  0.000  0.500  0.500
Ga  0.500  0.000  0.500
Ga  0.500  0.500  0.000
Ga  0.500  0.500  0.500



Zr3Ta2Ga3: calculated powder X-ray diffraction pattern (Cu Kα, 1.54184 Å), based on the GGA-PBE geometry in OQMD.
Intensities are scaled so that the largest is 1000.

Main lines, in order of rising 2θ (2θ from 10° to 90°):
- d 6.911, 12.81 deg, intensity 401
- d 3.990, 22.28 deg, intensity 209
- d 2.612, 34.33 deg, intensity 418
- d 2.551, 35.19 deg, intensity 253
- d 2.359, 38.15 deg, intensity 614
- d 2.304, 39.10 deg, intensity 574
- d 2.261, 39.87 deg, intensity 1000
- d 1.614, 57.07 deg, intensity 264
- d 1.508, 61.48 deg, intensity 161
- d 1.372, 68.35 deg, intensity 142

Cell and atoms:
Cell: 7.981 7.981 5.488 Å, 90.00 90.00 120.00°
Fractional positions:
Zr  0.000  0.247  0.250
Zr  0.000  0.753  0.750
Zr  0.247  0.000  0.250
Zr  0.247  0.247  0.750
Zr  0.753  0.000  0.750
Zr  0.753  0.753  0.250
Ta  0.333  0.667  0.000
Ta  0.333  0.667  0.500
Ta  0.667  0.333  0.000
Ta  0.667  0.333  0.500
Ga  0.000  0.397  0.750
Ga  0.000  0.603  0.250
Ga  0.397  0.000  0.750
Ga  0.397  0.397  0.250
Ga  0.603  0.000  0.250
Ga  0.603  0.603  0.750